For Na2CuP4O12, DFT lattice parameters and positions (GGA-PBE) gives the simulated XRD peak list in this record (Cu Ka).
Neutral-atom scattering factors, no anomalous dispersion.

Largest 10 diffraction maxima, most intense first, 2θ = 10–80°:
26.26 deg, intensity 100, (0 4 0)
22.45 deg, intensity 80, (0 0 2)
24.90 deg, intensity 69, (2 2 -1)
30.55 deg, intensity 64, (2 0 2)
11.40 deg, intensity 64, (1 1 0)
16.50 deg, intensity 58, (1 1 1)
40.41 deg, intensity 36, (3 3 -2)
15.47 deg, intensity 31, (1 1 -1)
30.93 deg, intensity 31, (1 3 -2)
32.05 deg, intensity 28, (3 1 1)

Atomic structure:
```
data_Na2CuP4O12
_chemical_formula_sum 'Na8 Cu4 P16 O48'
_cell_length_a 9.484
_cell_length_b 13.575
_cell_length_c 7.946
_cell_angle_alpha 90.00
_cell_angle_beta 94.47
_cell_angle_gamma 90.00
_space_group_name_H-M_alt 'C 1 2/c 1'
_space_group_IT_number 15
loop_
_space_group_symop_operation_xyz
'x,y,z'
'-x,-y,-z'
'-x,y,-z+1/2'
'x,-y,z+1/2'
'x+1/2,y+1/2,z'
'-x+1/2,-y+1/2,-z'
'-x+1/2,y+1/2,-z+1/2'
'x+1/2,-y+1/2,z+1/2'
loop_
_atom_site_label
_atom_site_fract_x
_atom_site_fract_y
_atom_site_fract_z
Na1 0.172 0.144 0.193
Cu1 0.000 0.364 0.750
P1 0.104 0.159 0.624
P2 0.142 0.426 0.182
O1 0.000 0.106 0.750
O2 0.000 0.379 0.250
O3 0.050 0.142 0.445
O4 0.129 0.463 0.670
O5 0.135 0.263 0.686
O6 0.179 0.369 0.032
O7 0.245 0.094 0.657
```